The following is a theoretical powder diffraction line list of TbDy4Y2. It was derived from DFT lattice parameters and positions (GGA-PBE), using copper Kα.
Lines closer than 0.1° are merged.

Crystal structure
Cell lengths 3.585, 3.585, 20.027 Å; angles 90.00, 90.00, 120.00 degrees
Fractional positions:
Tb  0.000  0.000  0.000
Dy  0.333  0.667  0.286
Dy  0.333  0.667  0.572
Dy  0.667  0.333  0.143
Dy  0.667  0.333  0.858
Y  0.000  0.000  0.430
Y  0.000  0.000  0.715

Peak list (10 most intense, 5 to 70 degrees two-theta, low angle first)
- 2θ = 29.1°, I = 47
- 2θ = 31.3°, I = 50
- 2θ = 31.8°, I = 100
- 2θ = 34.0°, I = 85
- 2θ = 39.6°, I = 20
- 2θ = 51.0°, I = 38
- 2θ = 54.5°, I = 21
- 2θ = 58.8°, I = 18
- 2θ = 61.0°, I = 44
- 2θ = 61.3°, I = 15

---

The following is a theoretical powder diffraction line list of TiZnCu2S4. It was derived from DFT lattice parameters and positions (GGA-PBE), using copper Kα.
Lines closer than 0.1° are merged.

Crystal structure
Cell lengths 6.529, 6.529, 6.529 Å; angles 131.23, 131.23, 71.46 degrees
Fractional positions:
Ti  0.000  0.000  0.000
Zn  0.500  0.500  0.000
Cu  0.250  0.750  0.500
Cu  0.750  0.250  0.500
S  0.118  0.627  0.000
S  0.373  0.373  0.491
S  0.627  0.118  0.000
S  0.882  0.882  0.509

Peak list (10 most intense, 5 to 70 degrees two-theta, low angle first)
- 2θ = 18.5°, I = 1
- 2θ = 28.8°, I = 100
- 2θ = 33.2°, I = 6
- 2θ = 33.8°, I = 3
- 2θ = 47.7°, I = 21
- 2θ = 48.2°, I = 40
- 2θ = 56.7°, I = 26
- 2θ = 57.5°, I = 13
- 2θ = 59.8°, I = 2
- 2θ = 69.8°, I = 6

---

The following is a theoretical powder diffraction line list of BiAs2PbO8. It was derived from DFT lattice parameters and positions (GGA-PBE), using copper Kα.
Lines closer than 0.1° are merged.

Crystal structure
Cell lengths 8.453, 8.453, 8.453 Å; angles 35.21, 35.21, 35.21 degrees
Fractional positions:
Bi  0.000  0.000  0.000
As  0.249  0.249  0.249
As  0.751  0.751  0.751
Pb  0.500  0.500  0.500
O  0.054  0.411  0.720
O  0.177  0.177  0.177
O  0.280  0.589  0.946
O  0.411  0.720  0.054
O  0.589  0.946  0.280
O  0.720  0.054  0.411
O  0.823  0.823  0.823
O  0.946  0.280  0.589

Peak list (10 most intense, 5 to 70 degrees two-theta, low angle first)
- 2θ = 21.4°, I = 23
- 2θ = 25.1°, I = 100
- 2θ = 35.1°, I = 42
- 2θ = 36.4°, I = 36
- 2θ = 42.1°, I = 17
- 2θ = 43.6°, I = 23
- 2θ = 51.5°, I = 13
- 2θ = 57.2°, I = 21
- 2θ = 59.0°, I = 21
- 2θ = 63.8°, I = 14

---

Repeat the first record exactly.
The following is a theoretical powder diffraction line list of TbDy4Y2. It was derived from DFT lattice parameters and positions (GGA-PBE), using copper Kα.
Lines closer than 0.1° are merged.

Crystal structure
Cell lengths 3.585, 3.585, 20.027 Å; angles 90.00, 90.00, 120.00 degrees
Fractional positions:
Tb  0.000  0.000  0.000
Dy  0.333  0.667  0.286
Dy  0.333  0.667  0.572
Dy  0.667  0.333  0.143
Dy  0.667  0.333  0.858
Y  0.000  0.000  0.430
Y  0.000  0.000  0.715

Peak list (10 most intense, 5 to 70 degrees two-theta, low angle first)
- 2θ = 29.1°, I = 47
- 2θ = 31.3°, I = 50
- 2θ = 31.8°, I = 100
- 2θ = 34.0°, I = 85
- 2θ = 39.6°, I = 20
- 2θ = 51.0°, I = 38
- 2θ = 54.5°, I = 21
- 2θ = 58.8°, I = 18
- 2θ = 61.0°, I = 44
- 2θ = 61.3°, I = 15

---

Repeat the first record exactly.
The following is a theoretical powder diffraction line list of TbDy4Y2. It was derived from DFT lattice parameters and positions (GGA-PBE), using copper Kα.
Lines closer than 0.1° are merged.

Crystal structure
Cell lengths 3.585, 3.585, 20.027 Å; angles 90.00, 90.00, 120.00 degrees
Fractional positions:
Tb  0.000  0.000  0.000
Dy  0.333  0.667  0.286
Dy  0.333  0.667  0.572
Dy  0.667  0.333  0.143
Dy  0.667  0.333  0.858
Y  0.000  0.000  0.430
Y  0.000  0.000  0.715

Peak list (10 most intense, 5 to 70 degrees two-theta, low angle first)
- 2θ = 29.1°, I = 47
- 2θ = 31.3°, I = 50
- 2θ = 31.8°, I = 100
- 2θ = 34.0°, I = 85
- 2θ = 39.6°, I = 20
- 2θ = 51.0°, I = 38
- 2θ = 54.5°, I = 21
- 2θ = 58.8°, I = 18
- 2θ = 61.0°, I = 44
- 2θ = 61.3°, I = 15